No. 1
Ho2Si3Pd9: simulated PXRD pattern (Cu Kα), based on a GGA-PBE-relaxed structure.
Neutral-atom scattering factors, no anomalous dispersion.

Most intense lines, 10° ≤ 2θ ≤ 80°, in order of rising 2θ:
23.28°, I = 18.3, hkl 3 1 -1
36.07°, I = 19.9, hkl 4 2 -1
36.48°, I = 13.1, hkl 5 1 -1
38.14°, I = 51.8, hkl 3 1 2
38.27°, I = 100.0, hkl 0 2 3
38.42°, I = 13.9, hkl 5 1 -3
40.23°, I = 13.4, hkl 0 0 4
40.91°, I = 92.2, hkl 6 0 -2
47.61°, I = 12.5, hkl 0 4 0
72.79°, I = 25.7, hkl 3 5 2

Structure:
```
data_Ho2Si3Pd9
_chemical_formula_sum 'Ho8 Si12 Pd36'
_symmetry_space_group_name_H-M 'C 1 2/c 1'
_symmetry_Int_Tables_number 15
_cell_length_a 13.2522
_cell_length_b 7.6316
_cell_length_c 9.9772
_cell_angle_alpha 90.00
_cell_angle_beta 116.00
_cell_angle_gamma 90.00
loop_
_symmetry_equiv_pos_as_xyz
'x,y,z'
'-x,-y,-z'
'-x,y,-z+1/2'
'x,-y,z+1/2'
'x+1/2,y+1/2,z'
'-x+1/2,-y+1/2,-z'
'-x+1/2,y+1/2,-z+1/2'
'x+1/2,-y+1/2,z+1/2'
loop_
_atom_site_label
_atom_site_type_symbol
_atom_site_fract_x
_atom_site_fract_y
_atom_site_fract_z
Ho1 Ho 0.1706 0.0856 0.2496
Si1 Si 0.0859 0.2396 0.4996
Si2 Si 0.2500 0.2500 0.0000
Pd1 Pd 0.0000 0.3620 0.2500
Pd2 Pd 0.0580 0.0709 0.9225
Pd3 Pd 0.1030 0.4096 0.0484
Pd4 Pd 0.1090 0.3119 0.7472
Pd5 Pd 0.2295 0.4109 0.4260
```

No. 2
Sm2HoPd3: simulated PXRD pattern (Cu Kα), based on a GGA-PBE-relaxed structure.
Neutral-atom scattering factors, no anomalous dispersion.

Most intense lines, 10° ≤ 2θ ≤ 80°, in order of rising 2θ:
35.14°, I = 26.0, hkl 0 6 0
35.50°, I = 26.2, hkl 2 0 0
35.99°, I = 100.0, hkl 1 3 1
50.81°, I = 18.1, hkl 2 6 0
52.79°, I = 8.4, hkl 0 0 2
63.60°, I = 17.6, hkl 1 9 1
64.06°, I = 18.4, hkl 3 3 1
65.01°, I = 8.6, hkl 0 6 2
65.24°, I = 8.8, hkl 2 0 2
76.32°, I = 10.8, hkl 2 6 2

Structure:
```
data_Sm2HoPd3
_chemical_formula_sum 'Sm4 Ho2 Pd6'
_symmetry_space_group_name_H-M 'P m m n'
_symmetry_Int_Tables_number 59
_cell_length_a 5.0575
_cell_length_b 15.3218
_cell_length_c 3.4682
_cell_angle_alpha 90.00
_cell_angle_beta 90.00
_cell_angle_gamma 90.00
loop_
_symmetry_equiv_pos_as_xyz
'x,y,z'
'-x,-y,-z'
'-x+1/2,-y+1/2,z'
'x+1/2,y+1/2,-z'
'x+1/2,-y,-z'
'-x+1/2,y,z'
'-x,y+1/2,-z'
'x,-y+1/2,z'
loop_
_atom_site_label
_atom_site_type_symbol
_atom_site_fract_x
_atom_site_fract_y
_atom_site_fract_z
Sm1 Sm 0.2500 0.0835 0.0008
Ho1 Ho 0.2500 0.7500 0.9992
Pd1 Pd 0.2500 0.2500 0.5006
Pd2 Pd 0.2500 0.5927 0.4994
```

No. 3
Sm3Ho3Pd2: simulated PXRD pattern (Cu Kα), based on a GGA-PBE-relaxed structure.
Neutral-atom scattering factors, no anomalous dispersion.

Most intense lines, 10° ≤ 2θ ≤ 80°, in order of rising 2θ:
28.51°, I = 32.4, hkl 4 0 1
29.40°, I = 36.9, hkl 0 0 6
31.18°, I = 100.0, hkl 3 1 0
31.82°, I = 69.0, hkl 1 1 4
33.47°, I = 64.7, hkl 3 1 -3
34.05°, I = 57.1, hkl 1 1 -5
34.73°, I = 44.3, hkl 4 0 -5
35.27°, I = 30.2, hkl 1 1 5
35.63°, I = 61.6, hkl 2 0 -7
47.48°, I = 40.7, hkl 0 2 0

Structure:
```
data_Sm3Ho3Pd2
_chemical_formula_sum 'Sm12 Ho12 Pd8'
_symmetry_space_group_name_H-M 'C 1 2/m 1'
_symmetry_Int_Tables_number 12
_cell_length_a 13.0771
_cell_length_b 3.8302
_cell_length_c 18.3592
_cell_angle_alpha 90.00
_cell_angle_beta 96.90
_cell_angle_gamma 90.00
loop_
_symmetry_equiv_pos_as_xyz
'x,y,z'
'-x,-y,-z'
'-x,y,-z'
'x,-y,z'
'x+1/2,y+1/2,z'
'-x+1/2,-y+1/2,-z'
'-x+1/2,y+1/2,-z'
'x+1/2,-y+1/2,z'
loop_
_atom_site_label
_atom_site_type_symbol
_atom_site_fract_x
_atom_site_fract_y
_atom_site_fract_z
Sm1 Sm 0.0377 0.0000 0.3941
Sm2 Sm 0.0657 0.0000 0.0874
Sm3 Sm 0.1787 0.5000 0.7391
Ho1 Ho 0.0871 0.5000 0.2440
Ho2 Ho 0.1602 0.5000 0.5416
Ho3 Ho 0.1609 0.5000 0.9439
Pd1 Pd 0.2298 0.5000 0.3708
Pd2 Pd 0.2348 0.5000 0.1350
```

No. 4
Sm2HoPd4: simulated PXRD pattern (Cu Kα), based on a GGA-PBE-relaxed structure.
Neutral-atom scattering factors, no anomalous dispersion.

Most intense lines, 10° ≤ 2θ ≤ 80°, in order of rising 2θ:
11.74°, I = 43.4, hkl 0 0 2
20.96°, I = 58.1, hkl 0 2 0
25.62°, I = 25.4, hkl 1 1 3
31.77°, I = 28.7, hkl 0 2 4
35.11°, I = 69.4, hkl 1 1 5
35.74°, I = 32.1, hkl 0 0 6
37.33°, I = 100.0, hkl 2 2 0
42.67°, I = 34.3, hkl 0 4 0
46.71°, I = 31.0, hkl 1 3 5
52.64°, I = 40.8, hkl 2 2 6

Structure:
```
data_Sm2HoPd4
_chemical_formula_sum 'Sm8 Ho4 Pd16'
_symmetry_space_group_name_H-M 'F m m m'
_symmetry_Int_Tables_number 69
_symmetry_space_group_name_Hall '-F 2 2'
_cell_length_a 5.8544
_cell_length_b 8.4764
_cell_length_c 15.0761
_cell_angle_alpha 90.00
_cell_angle_beta 90.00
_cell_angle_gamma 90.00
loop_
_atom_site_label
_atom_site_type_symbol
_atom_site_fract_x
_atom_site_fract_y
_atom_site_fract_z
Sm1 Sm 0.0000 0.0000 0.1338
Ho1 Ho 0.0000 0.0000 0.5000
Pd1 Pd 0.0000 0.0000 0.3197
Pd2 Pd 0.2500 0.2500 0.0000
```

No. 5
Ho3Sn2Pd8: simulated PXRD pattern (Cu Kα), based on a GGA-PBE-relaxed structure.
Neutral-atom scattering factors, no anomalous dispersion.

Most intense lines, 10° ≤ 2θ ≤ 80°, in order of rising 2θ:
32.70°, I = 80.1, hkl 1 1 0
35.31°, I = 34.8, hkl 1 0 10
37.41°, I = 47.5, hkl 1 1 6
37.95°, I = 100.0, hkl 0 1 11
38.42°, I = 80.6, hkl 2 0 2
39.85°, I = 35.7, hkl 0 2 4
40.90°, I = 60.0, hkl 2 0 5
43.55°, I = 29.8, hkl 0 2 7
61.87°, I = 48.0, hkl 1 2 11
68.53°, I = 44.5, hkl 2 2 0

Structure:
```
data_Ho3Sn2Pd8
_chemical_formula_sum 'Ho9 Sn6 Pd24'
_symmetry_space_group_name_H-M 'R -3 m'
_symmetry_Int_Tables_number 166
_symmetry_space_group_name_Hall '-R 3 2"'
_cell_length_a 5.4771
_cell_length_b 5.4771
_cell_length_c 30.1090
_cell_angle_alpha 90.00
_cell_angle_beta 90.00
_cell_angle_gamma 120.00
loop_
_atom_site_label
_atom_site_type_symbol
_atom_site_fract_x
_atom_site_fract_y
_atom_site_fract_z
Ho1 Ho 0.0000 0.0000 0.0000
Ho2 Ho 0.0000 0.0000 0.1920
Sn1 Sn 0.0000 0.0000 0.3699
Pd1 Pd 0.0000 0.0000 0.2843
Pd2 Pd 0.0064 0.5032 0.7730
```

No. 6
HoSnPd6: simulated PXRD pattern (Cu Kα), based on a GGA-PBE-relaxed structure.
Neutral-atom scattering factors, no anomalous dispersion.

Most intense lines, 10° ≤ 2θ ≤ 80°, in order of rising 2θ:
21.71°, I = 1.0, hkl 1 0 0
24.37°, I = 0.6, hkl 1 0 1
31.08°, I = 0.9, hkl 1 0 2
38.23°, I = 100.0, hkl 1 1 2
44.26°, I = 33.1, hkl 2 0 0
44.79°, I = 15.7, hkl 0 0 4
64.38°, I = 10.7, hkl 2 2 0
64.80°, I = 20.7, hkl 2 0 4
77.42°, I = 25.1, hkl 3 1 2
78.18°, I = 11.8, hkl 1 1 6

Structure:
```
data_HoSnPd6
_chemical_formula_sum 'Ho1 Sn1 Pd6'
_symmetry_space_group_name_H-M 'P 4/m m m'
_symmetry_Int_Tables_number 123
_symmetry_space_group_name_Hall '-P 4 2'
_cell_length_a 4.0928
_cell_length_b 4.0928
_cell_length_c 8.0937
_cell_angle_alpha 90.00
_cell_angle_beta 90.00
_cell_angle_gamma 90.00
loop_
_atom_site_label
_atom_site_type_symbol
_atom_site_fract_x
_atom_site_fract_y
_atom_site_fract_z
Ho1 Ho 0.0000 0.0000 0.0000
Sn1 Sn 0.0000 0.0000 0.5000
Pd1 Pd 0.0000 0.5000 0.2573
Pd2 Pd 0.5000 0.5000 0.0000
Pd3 Pd 0.5000 0.5000 0.5000
```

No. 7
Ho6Sn2Pd: simulated PXRD pattern (Cu Kα), based on a GGA-PBE-relaxed structure.
Neutral-atom scattering factors, no anomalous dispersion.

Most intense lines, 10° ≤ 2θ ≤ 80°, in order of rising 2θ:
31.06°, I = 100.0, hkl 1 1 1
32.10°, I = 64.8, hkl 2 1 0
33.41°, I = 73.8, hkl 2 0 1
36.54°, I = 39.6, hkl 3 0 0
39.71°, I = 31.7, hkl 2 1 1
46.50°, I = 20.2, hkl 0 0 2
50.34°, I = 15.8, hkl 3 1 1
57.62°, I = 24.8, hkl 2 1 2
59.52°, I = 34.8, hkl 3 2 1
60.53°, I = 18.5, hkl 3 0 2

Structure:
```
data_Ho6Sn2Pd
_chemical_formula_sum 'Ho6 Sn2 Pd1'
_symmetry_space_group_name_H-M 'P -6 2 m'
_symmetry_Int_Tables_number 189
_symmetry_space_group_name_Hall 'P -6 -2'
_cell_length_a 8.5197
_cell_length_b 8.5197
_cell_length_c 3.9062
_cell_angle_alpha 90.00
_cell_angle_beta 90.00
_cell_angle_gamma 120.00
loop_
_atom_site_label
_atom_site_type_symbol
_atom_site_fract_x
_atom_site_fract_y
_atom_site_fract_z
Ho1 Ho 0.0000 0.3998 0.0000
Ho2 Ho 0.0000 0.7522 0.5000
Sn1 Sn 0.3333 0.6667 0.5000
Pd1 Pd 0.0000 0.0000 0.0000
```

No. 8
Ho3Sn3Pd2: simulated PXRD pattern (Cu Kα), based on a GGA-PBE-relaxed structure.
Neutral-atom scattering factors, no anomalous dispersion.

Most intense lines, 10° ≤ 2θ ≤ 80°, in order of rising 2θ:
31.64°, I = 100.0, hkl 2 4 0
32.21°, I = 38.1, hkl 1 0 2
32.75°, I = 54.2, hkl 1 1 2
35.21°, I = 79.4, hkl 0 6 0
35.49°, I = 45.4, hkl 3 0 1
36.83°, I = 58.4, hkl 1 3 2
39.78°, I = 25.4, hkl 3 3 1
40.11°, I = 42.4, hkl 1 4 2
45.86°, I = 31.8, hkl 4 0 1
62.41°, I = 26.5, hkl 5 4 1

Structure:
```
data_Ho3Sn3Pd2
_chemical_formula_sum 'Ho12 Sn12 Pd8'
_symmetry_space_group_name_H-M 'P n m a'
_symmetry_Int_Tables_number 62
_cell_length_a 8.4032
_cell_length_b 15.2918
_cell_length_c 5.8901
_cell_angle_alpha 90.00
_cell_angle_beta 90.00
_cell_angle_gamma 90.00
loop_
_symmetry_equiv_pos_as_xyz
'x,y,z'
'-x,-y,-z'
'-x+1/2,-y,z+1/2'
'x+1/2,y,-z+1/2'
'x+1/2,-y+1/2,-z+1/2'
'-x+1/2,y+1/2,z+1/2'
'-x,y+1/2,-z'
'x,-y+1/2,z'
loop_
_atom_site_label
_atom_site_type_symbol
_atom_site_fract_x
_atom_site_fract_y
_atom_site_fract_z
Ho1 Ho 0.0321 0.1116 0.1240
Ho2 Ho 0.1736 0.2500 0.6361
Sn1 Sn 0.1869 0.7500 0.6310
Sn2 Sn 0.1998 0.0365 0.6008
Pd1 Pd 0.0842 0.6128 0.3725
```

No. 9
HoTaPd: simulated PXRD pattern (Cu Kα), based on a GGA-PBE-relaxed structure.
Neutral-atom scattering factors, no anomalous dispersion.

Most intense lines, 10° ≤ 2θ ≤ 80°, in order of rising 2θ:
28.20°, I = 7.6, hkl 1 1 1
36.36°, I = 100.0, hkl 1 1 3
38.60°, I = 47.0, hkl 2 0 0
48.85°, I = 7.9, hkl 0 0 6
50.98°, I = 3.9, hkl 2 0 4
55.73°, I = 16.2, hkl 2 2 0
63.92°, I = 14.2, hkl 2 0 6
68.32°, I = 15.8, hkl 1 3 3
68.45°, I = 15.8, hkl 3 1 3
77.23°, I = 8.2, hkl 2 2 6

Structure:
```
data_HoTaPd
_chemical_formula_sum 'Ho4 Ta4 Pd4'
_symmetry_space_group_name_H-M 'C m m m'
_symmetry_Int_Tables_number 65
_symmetry_space_group_name_Hall '-C 2 2'
_cell_length_a 4.6598
_cell_length_b 4.6706
_cell_length_c 11.1864
_cell_angle_alpha 90.00
_cell_angle_beta 90.00
_cell_angle_gamma 90.00
loop_
_atom_site_label
_atom_site_type_symbol
_atom_site_fract_x
_atom_site_fract_y
_atom_site_fract_z
Ho1 Ho 0.0000 0.0000 0.1678
Ta1 Ta 0.0000 0.5000 0.3601
Pd1 Pd 0.0000 0.0000 0.5000
Pd2 Pd 0.0000 0.5000 0.0000
```

No. 10
TbHoPd3: simulated PXRD pattern (Cu Kα), based on a GGA-PBE-relaxed structure.
Neutral-atom scattering factors, no anomalous dispersion.

Most intense lines, 10° ≤ 2θ ≤ 80°, in order of rising 2θ:
29.70°, I = 46.5, hkl 2 1 0
31.90°, I = 48.9, hkl 0 2 0
34.04°, I = 89.9, hkl 3 0 -2
35.37°, I = 100.0, hkl 1 0 -4
36.76°, I = 35.0, hkl 1 2 -2
37.29°, I = 43.0, hkl 1 2 1
37.55°, I = 46.1, hkl 0 2 2
37.73°, I = 57.3, hkl 3 1 -2
38.13°, I = 89.4, hkl 2 0 2
38.95°, I = 39.3, hkl 1 1 -4

Structure:
```
data_TbHoPd3
_chemical_formula_sum 'Tb4 Ho4 Pd12'
_symmetry_space_group_name_H-M 'P 1 21/c 1'
_symmetry_Int_Tables_number 14
_cell_length_a 7.9315
_cell_length_b 5.6104
_cell_length_c 10.2361
_cell_angle_alpha 90.00
_cell_angle_beta 116.01
_cell_angle_gamma 90.00
loop_
_symmetry_equiv_pos_as_xyz
'x,y,z'
'-x,-y,-z'
'-x,y+1/2,-z+1/2'
'x,-y+1/2,z+1/2'
loop_
_atom_site_label
_atom_site_type_symbol
_atom_site_fract_x
_atom_site_fract_y
_atom_site_fract_z
Tb1 Tb 0.1447 0.2458 0.0394
Ho1 Ho 0.3774 0.6714 0.3132
Pd1 Pd 0.0054 0.0355 0.7518
Pd2 Pd 0.2473 0.7476 0.5173
Pd3 Pd 0.3639 0.1707 0.3637
```

No. 11
Tb3HoPd2: simulated PXRD pattern (Cu Kα), based on a GGA-PBE-relaxed structure.
Neutral-atom scattering factors, no anomalous dispersion.

Most intense lines, 10° ≤ 2θ ≤ 80°, in order of rising 2θ:
27.41°, I = 16.6, hkl 1 1 1
29.31°, I = 41.7, hkl 0 3 1
31.72°, I = 54.9, hkl 1 2 1
32.81°, I = 39.3, hkl 0 1 3
33.00°, I = 100.0, hkl 1 1 2
36.73°, I = 17.4, hkl 1 2 2
37.96°, I = 51.4, hkl 1 3 1
38.27°, I = 19.6, hkl 0 4 1
48.25°, I = 23.2, hkl 2 0 0
55.19°, I = 21.4, hkl 1 4 3

Structure:
```
data_Tb3HoPd2
_chemical_formula_sum 'Tb6 Ho2 Pd4'
_symmetry_space_group_name_H-M 'P m c 21'
_symmetry_Int_Tables_number 26
_cell_length_a 3.7720
_cell_length_b 9.7875
_cell_length_c 8.5281
_cell_angle_alpha 90.00
_cell_angle_beta 90.00
_cell_angle_gamma 90.00
loop_
_symmetry_equiv_pos_as_xyz
'x,y,z'
'-x,-y,z+1/2'
'-x,y,z'
'x,-y,z+1/2'
loop_
_atom_site_label
_atom_site_type_symbol
_atom_site_fract_x
_atom_site_fract_y
_atom_site_fract_z
Tb1 Tb 0.0000 0.0658 0.0000
Tb2 Tb 0.0000 0.2848 0.3410
Tb3 Tb 0.5000 0.2171 0.6790
Ho1 Ho 0.5000 0.4353 0.0194
Pd1 Pd 0.0000 0.4291 0.7465
Pd2 Pd 0.5000 0.0723 0.2736
```

No. 12
Ho2TePd: simulated PXRD pattern (Cu Kα), based on a GGA-PBE-relaxed structure.
Neutral-atom scattering factors, no anomalous dispersion.

Most intense lines, 10° ≤ 2θ ≤ 80°, in order of rising 2θ:
30.28°, I = 100.0, hkl 1 1 1
31.04°, I = 29.5, hkl 0 8 0
32.25°, I = 19.4, hkl 1 3 1
35.38°, I = 24.4, hkl 1 7 0
37.08°, I = 16.8, hkl 0 8 1
40.21°, I = 30.9, hkl 0 0 2
40.87°, I = 66.5, hkl 1 7 1
45.60°, I = 21.6, hkl 2 0 0
54.62°, I = 14.1, hkl 1 7 2
62.40°, I = 16.9, hkl 2 0 2

Structure:
```
data_Ho2TePd
_chemical_formula_sum 'Ho8 Te4 Pd4'
_symmetry_space_group_name_H-M 'C m c m'
_symmetry_Int_Tables_number 63
_symmetry_space_group_name_Hall '-C 2c 2'
_cell_length_a 3.9784
_cell_length_b 23.0507
_cell_length_c 4.4852
_cell_angle_alpha 90.00
_cell_angle_beta 90.00
_cell_angle_gamma 90.00
loop_
_atom_site_label
_atom_site_type_symbol
_atom_site_fract_x
_atom_site_fract_y
_atom_site_fract_z
Ho1 Ho 0.0000 0.0581 0.2500
Ho2 Ho 0.0000 0.3359 0.2500
Te1 Te 0.0000 0.1954 0.2500
Pd1 Pd 0.0000 0.4596 0.2500
```